Simulated powder X-ray diffraction pattern of Cu3P for a wavelength of 1.5418 Å, from a structure optimized by DFT (GGA-PBE).
Lines closer than 0.1° are merged.

Most intense lines, 10 to 90 degrees two-theta, low angle first:
hkl 1 0 2, 35.84 deg, intensity 55; hkl 1 1 0, 44.70 deg, intensity 100; hkl 0 1 3, 46.02 deg, intensity 74; hkl 2 0 3, 66.09 deg, intensity 23; hkl 3 0 0, 82.39 deg, intensity 15; hkl 1 2 3, 83.34 deg, intensity 23

```
Cu3P
1.0
4.055 0.000 0.000
-2.027 3.512 0.000
0.000 0.000 7.151
Cu P
6 2
direct
0.000 0.000 0.220
0.000 0.000 0.780
0.333 0.667 0.587
0.333 0.667 0.938
0.667 0.333 0.062
0.667 0.333 0.413
0.333 0.667 0.262
0.667 0.333 0.738
```